# 1
This entry pairs a crystal structure of Pm2Pr8Nd3 with its simulated powder XRD pattern. Radiation: Cu Ka. Structure: a structure optimized by DFT (GGA-PBE).
No peak broadening, texture or thermal motion is included.

Top 12 peaks for 5 to 70 degrees two-theta, low angle first:
2theta	d_spacing	Rel. int.
24.95	3.568	16
28.36	3.147	11
29.10	3.069	29
29.71	3.007	89
30.69	2.913	100
32.10	2.788	24
32.21	2.779	26
36.60	2.455	18
38.70	2.326	16
52.34	1.748	11
53.34	1.718	21
61.69	1.504	15

Structural model:
abc: 13.4619 12.0295 6.3111
angles: 90.00 113.55 90.00
Space group C2/m (No. 12)
Unique sites:
Pm 0.2125 0.0000 0.3487 [4 per cell]
Pr 0.0541 0.0000 0.7836 [4 per cell]
Pr 0.1527 0.5000 0.0527 [4 per cell]
Pr 0.1724 0.2438 0.6728 [8 per cell]
Nd 0.0000 0.2563 0.0000 [4 per cell]
Nd 0.0000 0.5000 0.5000 [2 per cell]

=====

# 2
This entry pairs a crystal structure of La3Ho3Tm5 with its simulated powder XRD pattern. Radiation: Cu Ka. Structure: a structure optimized by DFT (GGA-PBE).
No peak broadening, texture or thermal motion is included.

Top 12 peaks for 5 to 70 degrees two-theta, low angle first:
2theta	d_spacing	Rel. int.
10.56	8.375	42
16.66	5.320	44
27.10	3.291	72
28.19	3.166	29
32.06	2.792	41
32.92	2.720	27
33.69	2.660	41
36.34	2.472	100
47.19	1.926	28
59.97	1.543	17
61.08	1.517	22
61.99	1.497	21

Structural model:
abc: 9.6711 9.6711 5.3205
angles: 90.00 90.00 120.00
Space group P-62m (No. 189)
Unique sites:
La 0.0000 0.3564 0.0000 [3 per cell]
Ho 0.0000 0.5174 0.5000 [3 per cell]
Tm 0.0000 0.7164 0.0000 [3 per cell]
Tm 0.3333 0.6667 0.0000 [2 per cell]

=====

# 3
This entry pairs a crystal structure of Nd2Np3Se8 with its simulated powder XRD pattern. Radiation: Cu Ka. Structure: a structure optimized by DFT (GGA-PBE).
No peak broadening, texture or thermal motion is included.

Top 12 peaks for 5 to 70 degrees two-theta, low angle first:
2theta	d_spacing	Rel. int.
12.70	6.971	52
15.02	5.897	27
19.56	4.539	53
22.16	4.011	37
24.99	3.563	26
26.28	3.391	75
26.41	3.375	34
32.90	2.722	100
33.02	2.712	55
39.29	2.293	100
43.68	2.072	32
43.89	2.063	65

Structural model:
abc: 14.7365 8.2896 7.1353
angles: 90.00 108.91 90.00
Space group C2/m (No. 12)
Unique sites:
Nd 0.2380 0.0000 0.1644 [4 per cell]
Np 0.0000 0.2428 0.5000 [4 per cell]
Np 0.0000 0.5000 0.0000 [2 per cell]
Se 0.1146 0.0000 0.4143 [4 per cell]
Se 0.1147 0.5000 0.4190 [4 per cell]
Se 0.1228 0.2626 0.9064 [8 per cell]

=====

# 4
This entry pairs a crystal structure of Y3Ag3RuO8 with its simulated powder XRD pattern. Radiation: Cu Ka. Structure: a structure optimized by DFT (GGA-PBE).
No peak broadening, texture or thermal motion is included.

Top 12 peaks for 5 to 70 degrees two-theta, low angle first:
2theta	d_spacing	Rel. int.
15.96	5.554	24
18.29	4.850	8
31.14	2.872	30
32.23	2.777	74
37.07	2.425	100
52.64	1.739	10
52.75	1.735	20
54.15	1.694	32
62.46	1.487	9
63.83	1.458	16
64.43	1.446	11
67.45	1.389	15

Structural model:
abc: 11.7327 6.7764 6.9587
angles: 90.00 124.35 90.00
Space group C2/m (No. 12)
Unique sites:
Y 0.0000 0.0000 0.0000 [2 per cell]
Y 0.2500 0.2500 0.0000 [4 per cell]
Ag 0.0000 0.5000 0.5000 [2 per cell]
Ag 0.2500 0.2500 0.5000 [4 per cell]
Ru 0.0000 0.5000 0.0000 [2 per cell]
O 0.0121 0.2745 0.8116 [8 per cell]
O 0.2133 0.5000 0.1881 [4 per cell]
O 0.2290 0.0000 0.1862 [4 per cell]